Entry 1:
Structure and theoretical powder diffractogram of Al2PS6 (a crystal structure in Alexandria, relaxed with GGA-PBE; a wavelength of 1.5418 Å).

Most intense lines, 10 to 90 degrees two-theta, by angle:
2θ = 22.4°, rel. 67.4, hkl 1 1 0
2θ = 34.4°, rel. 100.0, hkl 1 1 3
2θ = 35.7°, rel. 44.1, hkl 2 1 0
2θ = 44.6°, rel. 56.6, hkl 2 1 3
2θ = 45.6°, rel. 27.0, hkl 2 2 0
2θ = 53.0°, rel. 16.9, hkl 0 0 6
2θ = 55.8°, rel. 48.6, hkl 3 0 3
2θ = 65.5°, rel. 12.3, hkl 2 1 6
2θ = 68.9°, rel. 12.2, hkl 4 1 0
2θ = 72.5°, rel. 12.8, hkl 2 2 6

Structure:
a = 5.622 Å, b = 5.622 Å, c = 10.373 Å
α = 90.00°, β = 90.00°, γ = 90.00°
Space group P4_2/mnm (No. 136)
One atom of each set of equivalent atoms:
Al1 0.000 0.000 0.166 [4 per cell]
P1 0.000 0.000 0.500 [2 per cell]
S1 0.188 0.188 0.339 [8 per cell]
S2 0.201 0.201 0.000 [4 per cell]

***

Entry 2:
Structure and theoretical powder diffractogram of NaHfReO6 (a crystal structure in Alexandria, relaxed with GGA-PBE; a wavelength of 1.5418 Å).

Most intense lines, 10 to 90 degrees two-theta, by angle:
2θ = 17.2°, rel. 100.0, hkl 0 0 1
2θ = 19.2°, rel. 52.0, hkl 1 0 0
2θ = 25.9°, rel. 75.5, hkl 0 1 1
2θ = 33.6°, rel. 50.5, hkl 1 1 0
2θ = 37.9°, rel. 70.2, hkl 2 -1 1
2θ = 42.9°, rel. 17.4, hkl 2 0 1
2θ = 49.1°, rel. 54.2, hkl 2 -1 2
2θ = 55.5°, rel. 18.1, hkl 3 -2 1
2θ = 62.9°, rel. 18.2, hkl 3 0 1
2θ = 64.4°, rel. 25.2, hkl 1 1 3

Structure:
a = 5.3378 Å, b = 5.3378 Å, c = 5.1700 Å
α = 90.00°, β = 90.00°, γ = 120.00°
Space group P3 (No. 143)
One atom of each set of equivalent atoms:
Na1 0.0000 0.0000 0.0000 [1 per cell]
Hf1 0.3333 0.6667 0.4981 [1 per cell]
Re1 0.6667 0.3333 0.5007 [1 per cell]
O1 0.3901 0.0245 0.7084 [3 per cell]
O2 0.3901 0.3652 0.2910 [3 per cell]

***

Entry 3:
Structure and theoretical powder diffractogram of PmP2BrO6 (a crystal structure in Alexandria, relaxed with GGA-PBE; a wavelength of 1.5418 Å).

Most intense lines, 10 to 90 degrees two-theta, by angle:
2θ = 10.5°, rel. 57.9, hkl 1 1 0
2θ = 15.2°, rel. 58.4, hkl 2 0 0
2θ = 19.8°, rel. 79.4, hkl 1 1 -1
2θ = 21.0°, rel. 100.0, hkl 2 2 0
2θ = 24.0°, rel. 53.5, hkl 3 1 0
2θ = 28.6°, rel. 43.0, hkl 1 3 -1
2θ = 30.6°, rel. 41.3, hkl 4 0 0
2θ = 31.1°, rel. 83.2, hkl 1 3 1
2θ = 33.9°, rel. 38.9, hkl 3 3 -1
2θ = 40.2°, rel. 45.5, hkl 2 4 1

Structure:
a = 12.068 Å, b = 12.258 Å, c = 4.882 Å
α = 90.00°, β = 104.67°, γ = 90.00°
Space group C2/c (No. 15)
One atom of each set of equivalent atoms:
Pm1 0.000 0.218 0.250 [4 per cell]
P1 0.208 0.422 0.625 [8 per cell]
Br1 0.000 0.102 0.750 [4 per cell]
O1 0.097 0.363 0.517 [8 per cell]
O2 0.184 0.141 0.346 [8 per cell]
O3 0.208 0.471 0.933 [8 per cell]

***

Entry 4:
Structure and theoretical powder diffractogram of HfZnCuIr (a crystal structure in Alexandria, relaxed with GGA-PBE; a wavelength of 1.5418 Å).

Most intense lines, 10 to 90 degrees two-theta, by angle:
2θ = 25.0°, rel. 32.1, hkl 1 0 1
2θ = 39.6°, rel. 100.0, hkl 1 1 2
2θ = 44.7°, rel. 35.4, hkl 2 0 0
2θ = 48.6°, rel. 13.8, hkl 0 0 4
2θ = 51.9°, rel. 9.5, hkl 2 1 1
2θ = 65.0°, rel. 11.4, hkl 2 2 0
2θ = 68.2°, rel. 19.8, hkl 2 0 4
2θ = 78.9°, rel. 26.2, hkl 3 1 2
2θ = 84.7°, rel. 11.1, hkl 1 1 6
2θ = 85.2°, rel. 10.9, hkl 2 2 4

Structure:
a = 4.057 Å, b = 4.057 Å, c = 7.490 Å
α = 90.00°, β = 90.00°, γ = 90.00°
Space group I-4m2 (No. 119)
One atom of each set of equivalent atoms:
Hf1 0.000 0.000 0.000 [2 per cell]
Zn1 0.000 0.000 0.500 [2 per cell]
Cu1 0.000 0.500 0.750 [2 per cell]
Ir1 0.000 0.500 0.250 [2 per cell]

***

Entry 5:
Structure and theoretical powder diffractogram of PmNiH6Pt (a crystal structure in Alexandria, relaxed with GGA-PBE; a wavelength of 1.5418 Å).

Most intense lines, 10 to 90 degrees two-theta, by angle:
2θ = 22.2°, rel. 14.7, hkl 1 0 0
2θ = 30.6°, rel. 100.0, hkl 1 0 1
2θ = 38.9°, rel. 48.1, hkl 1 1 0
2θ = 42.3°, rel. 12.4, hkl 0 0 2
2θ = 50.3°, rel. 25.3, hkl 2 0 1
2θ = 58.9°, rel. 29.2, hkl 1 1 2
2θ = 65.4°, rel. 23.0, hkl 2 1 1
2θ = 70.2°, rel. 9.4, hkl 1 0 3
2θ = 70.5°, rel. 8.4, hkl 3 0 0
2θ = 85.8°, rel. 10.2, hkl 3 0 2

Structure:
a = 4.6255 Å, b = 4.6255 Å, c = 4.2685 Å
α = 90.00°, β = 90.00°, γ = 120.00°
Space group P-6m2 (No. 187)
One atom of each set of equivalent atoms:
Pm1 0.0000 0.0000 0.0000 [1 per cell]
Ni1 0.3333 0.6667 0.5000 [1 per cell]
H1 0.0195 0.5098 0.2433 [6 per cell]
Pt1 0.6667 0.3333 0.5000 [1 per cell]

***

Entry 6:
Structure and theoretical powder diffractogram of La3Tb4SmSe8 (a crystal structure in Alexandria, relaxed with GGA-PBE; a wavelength of 1.5418 Å).

Most intense lines, 10 to 90 degrees two-theta, by angle:
2θ = 26.1°, rel. 13.0, hkl 2 0 2
2θ = 30.2°, rel. 100.0, hkl 0 2 4
2θ = 43.0°, rel. 37.1, hkl 2 0 8
2θ = 43.4°, rel. 37.0, hkl 2 2 0
2θ = 53.1°, rel. 6.5, hkl 0 0 12
2θ = 53.8°, rel. 19.5, hkl 4 0 4
2θ = 62.8°, rel. 12.0, hkl 0 4 8
2θ = 70.9°, rel. 16.3, hkl 2 2 12
2θ = 71.5°, rel. 16.6, hkl 2 4 4
2θ = 79.4°, rel. 12.3, hkl 4 2 8

Structure:
a = 8.3410 Å, b = 8.3410 Å, c = 20.6843 Å
α = 90.00°, β = 90.00°, γ = 120.00°
Space group R-3m (No. 166, hexagonal axes)
One atom of each set of equivalent atoms:
La1 0.0000 0.5000 0.0000 [9 per cell]
Tb1 0.0000 0.0000 0.5000 [3 per cell]
Tb2 0.0000 0.5000 0.5000 [9 per cell]
Sm1 0.0000 0.0000 0.0000 [3 per cell]
Se1 0.0000 0.0000 0.2442 [6 per cell]
Se2 0.0040 0.5020 0.7547 [18 per cell]

***

Entry 7:
Structure and theoretical powder diffractogram of KLiTl2Pb (a crystal structure in Alexandria, relaxed with GGA-PBE; a wavelength of 1.5418 Å).

Most intense lines, 10 to 90 degrees two-theta, by angle:
2θ = 12.2°, rel. 19.3, hkl 0 1 0
2θ = 12.4°, rel. 21.1, hkl 0 0 1
2θ = 19.3°, rel. 15.3, hkl 1 0 1
2θ = 24.8°, rel. 27.0, hkl 0 0 2
2θ = 29.8°, rel. 32.9, hkl 2 0 0
2θ = 31.4°, rel. 100.0, hkl 1 2 1
2θ = 38.4°, rel. 19.2, hkl 1 2 2
2θ = 39.2°, rel. 17.2, hkl 2 0 2
2θ = 54.0°, rel. 23.5, hkl 3 2 1
2θ = 59.6°, rel. 16.9, hkl 2 4 0

Structure:
a = 5.989 Å, b = 7.252 Å, c = 7.167 Å
α = 90.00°, β = 90.00°, γ = 90.00°
Space group Pmma (No. 51)
One atom of each set of equivalent atoms:
K1 0.250 0.000 0.208 [2 per cell]
Li1 0.000 0.500 0.000 [2 per cell]
Tl1 0.250 0.254 0.716 [4 per cell]
Pb1 0.250 0.500 0.348 [2 per cell]

***

Entry 8:
Structure and theoretical powder diffractogram of ErRu2 (a crystal structure in Alexandria, relaxed with GGA-PBE; a wavelength of 1.5418 Å).

Most intense lines, 10 to 90 degrees two-theta, by angle:
2θ = 34.2°, rel. 46.1, hkl 1 1 0
2θ = 36.1°, rel. 98.5, hkl 1 0 3
2θ = 39.7°, rel. 13.1, hkl 2 0 0
2θ = 39.9°, rel. 100.0, hkl 1 1 2
2θ = 41.1°, rel. 75.0, hkl 2 0 1
2θ = 62.5°, rel. 41.8, hkl 0 0 6
2θ = 65.2°, rel. 23.5, hkl 3 0 2
2θ = 66.7°, rel. 31.6, hkl 2 0 5
2θ = 72.1°, rel. 25.9, hkl 2 2 0
2θ = 83.4°, rel. 17.6, hkl 3 1 3

Structure:
a = 5.2369 Å, b = 5.2369 Å, c = 8.9240 Å
α = 90.00°, β = 90.00°, γ = 120.00°
Space group P6_3/mmc (No. 194)
One atom of each set of equivalent atoms:
Er1 0.3333 0.6667 0.0670 [4 per cell]
Ru1 0.0000 0.0000 0.0000 [2 per cell]
Ru2 0.1709 0.3417 0.7500 [6 per cell]